# 1
For NaSrPrMnO6, a crystal structure in Alexandria, relaxed with GGA+U gives the computed powder diffractogram in this record (CuKα).
Intensities are scaled so that the largest is 100.

Largest 6 diffraction maxima, by angle, 5 to 70 degrees two-theta:
- d 4.862, rel. 24
- d 4.211, rel. 24
- d 2.977, rel. 100
- d 2.105, rel. 37
- d 1.719, rel. 38
- d 1.489, rel. 22

Crystal structure
abc: 5.955 5.955 5.955
angles: 60.00 60.00 60.00
Sites, in units of the cell vectors:
Na 0.000 0.000 0.000
Sr 0.500 0.500 0.500
Pr 0.250 0.250 0.250
Mn 0.750 0.750 0.750
O 0.525 0.525 0.975
O 0.525 0.975 0.525
O 0.525 0.975 0.975
O 0.975 0.525 0.525
O 0.975 0.525 0.975
O 0.975 0.975 0.525

=====

# 2
For Na2MnPtO4, a crystal structure in Alexandria, relaxed with GGA+U gives the computed powder diffractogram in this record (CuKα).
Intensities are scaled so that the largest is 100.

Largest 6 diffraction maxima, by angle, 5 to 70 degrees two-theta:
- d 4.287, rel. 100
- d 2.919, rel. 38
- d 2.508, rel. 65
- d 2.413, rel. 38
- d 2.064, rel. 22
- d 1.594, rel. 38

Crystal structure
abc: 5.838 5.838 6.317
angles: 90.00 90.00 90.00
Sites, in units of the cell vectors:
Na 0.000 0.000 0.000
Na 0.000 0.500 0.250
Na 0.500 0.000 0.750
Na 0.500 0.500 0.500
Mn 0.000 0.500 0.750
Mn 0.500 0.000 0.250
Pt 0.000 0.000 0.500
Pt 0.500 0.500 0.000
O 0.158 0.296 0.535
O 0.204 0.658 0.965
O 0.296 0.842 0.465
O 0.342 0.204 0.035
O 0.658 0.796 0.035
O 0.704 0.158 0.465
O 0.796 0.342 0.965
O 0.842 0.704 0.535

=====

# 3
For Na2PuMnO4, a crystal structure in Alexandria, relaxed with GGA+U gives the computed powder diffractogram in this record (CuKα).
Intensities are scaled so that the largest is 100.

Largest 6 diffraction maxima, by angle, 5 to 70 degrees two-theta:
- d 5.564, rel. 100
- d 5.372, rel. 43
- d 2.879, rel. 34
- d 2.783, rel. 37
- d 2.753, rel. 40
- d 2.398, rel. 60

Crystal structure
abc: 5.658 3.410 5.860
angles: 90.00 108.31 90.00
Sites, in units of the cell vectors:
Na 0.000 0.000 0.000
Na 0.500 0.500 0.000
Pu 0.000 0.500 0.500
Mn 0.500 0.000 0.500
O 0.233 0.000 0.717
O 0.257 0.500 0.290
O 0.743 0.500 0.710
O 0.767 0.000 0.283

=====

# 4
For RbNa2MnO4, a crystal structure in Alexandria, relaxed with GGA+U gives the computed powder diffractogram in this record (CuKα).
Intensities are scaled so that the largest is 100.

Largest 6 diffraction maxima, by angle, 5 to 70 degrees two-theta:
- d 4.134, rel. 43
- d 2.923, rel. 34
- d 2.798, rel. 100
- d 2.067, rel. 23
- d 1.663, rel. 37
- d 1.594, rel. 21

Crystal structure
abc: 5.847 5.847 7.604
angles: 90.00 90.00 90.00
Sites, in units of the cell vectors:
Rb 0.000 0.000 0.000
Rb 0.500 0.500 0.500
Na 0.000 0.500 0.250
Na 0.000 0.500 0.750
Na 0.500 0.000 0.250
Na 0.500 0.000 0.750
Mn 0.000 0.000 0.500
Mn 0.500 0.500 0.000
O 0.171 0.171 0.370
O 0.171 0.829 0.630
O 0.329 0.329 0.870
O 0.329 0.671 0.130
O 0.671 0.329 0.130
O 0.671 0.671 0.870
O 0.829 0.171 0.630
O 0.829 0.829 0.370

=====

# 5
For Na2MnSO6, a crystal structure in Alexandria, relaxed with GGA+U gives the computed powder diffractogram in this record (CuKα).
Intensities are scaled so that the largest is 100.

Largest 6 diffraction maxima, by angle, 5 to 70 degrees two-theta:
- d 4.785, rel. 100
- d 2.763, rel. 27
- d 2.147, rel. 26
- d 1.827, rel. 15
- d 1.707, rel. 18
- d 1.452, rel. 11

Crystal structure
abc: 5.526 5.526 4.870
angles: 90.00 90.00 120.00
Sites, in units of the cell vectors:
Na 0.333 0.667 0.384
Na 0.667 0.333 0.616
Mn 0.000 0.000 0.000
S 0.000 0.000 0.500
O 0.140 0.281 0.710
O 0.140 0.860 0.710
O 0.281 0.140 0.290
O 0.719 0.860 0.710
O 0.860 0.140 0.290
O 0.860 0.719 0.290

=====

# 6
For NaMn2S2O8, a crystal structure in Alexandria, relaxed with GGA+U gives the computed powder diffractogram in this record (CuKα).
Intensities are scaled so that the largest is 100.

Largest 6 diffraction maxima, by angle, 5 to 70 degrees two-theta:
- d 7.029, rel. 100
- d 5.356, rel. 28
- d 3.639, rel. 22
- d 3.226, rel. 19
- d 2.963, rel. 16
- d 2.531, rel. 30

Crystal structure
abc: 6.330 7.698 9.002
angles: 80.99 69.43 65.96
Sites, in units of the cell vectors:
Na 0.196 0.265 0.341
Na 0.804 0.735 0.659
Mn 0.000 0.500 0.000
Mn 0.490 0.695 0.326
Mn 0.500 0.500 0.000
Mn 0.510 0.305 0.674
S 0.011 0.257 0.718
S 0.245 0.763 0.750
S 0.755 0.237 0.250
S 0.989 0.743 0.282
O 0.010 0.734 0.855
O 0.133 0.579 0.156
O 0.151 0.683 0.389
O 0.221 0.317 0.611
O 0.361 0.933 0.350
O 0.363 0.377 0.895
O 0.386 0.604 0.626
O 0.404 0.734 0.855
O 0.596 0.266 0.145
O 0.614 0.396 0.374
O 0.637 0.623 0.105
O 0.639 0.067 0.650
O 0.779 0.683 0.389
O 0.849 0.317 0.611
O 0.867 0.421 0.844
O 0.990 0.266 0.145

=====

Question: Number 2 is which compound?
Answer: Na2MnPtO4

=====

Please write out number 4 again, unchanged.
For RbNa2MnO4, a crystal structure in Alexandria, relaxed with GGA+U gives the computed powder diffractogram in this record (CuKα).
Intensities are scaled so that the largest is 100.

Largest 6 diffraction maxima, by angle, 5 to 70 degrees two-theta:
- d 4.134, rel. 43
- d 2.923, rel. 34
- d 2.798, rel. 100
- d 2.067, rel. 23
- d 1.663, rel. 37
- d 1.594, rel. 21

Crystal structure
abc: 5.847 5.847 7.604
angles: 90.00 90.00 90.00
Sites, in units of the cell vectors:
Rb 0.000 0.000 0.000
Rb 0.500 0.500 0.500
Na 0.000 0.500 0.250
Na 0.000 0.500 0.750
Na 0.500 0.000 0.250
Na 0.500 0.000 0.750
Mn 0.000 0.000 0.500
Mn 0.500 0.500 0.000
O 0.171 0.171 0.370
O 0.171 0.829 0.630
O 0.329 0.329 0.870
O 0.329 0.671 0.130
O 0.671 0.329 0.130
O 0.671 0.671 0.870
O 0.829 0.171 0.630
O 0.829 0.829 0.370